No. 1
Calculated powder diffractogram of HfMg6WO8 for Cu Kα X-rays, from a PBE+U-relaxed structure.
Neutral-atom scattering factors, no anomalous dispersion.

Principal peaks in the range 15° ≤ 2θ ≤ 90°, low angle first:
Position (°2θ)  I/Imax
19.98  100
20.16  49
28.41  43
28.53  85
35.08  76
40.61  73
40.97  35
45.70  48
45.99  24
50.38  37
59.05  45
70.32  24

Cell and atoms:
a = 4.4433 Å, b = 4.4433 Å, c = 8.8112 Å
α = 90.00°, β = 90.00°, γ = 90.00°
Space group P4/mmm (No. 123)
One atom of each set of equivalent atoms:
Hf (0.0000, 0.0000, 0.0000)
Mg (0.0000, 0.5000, 0.2556)
Mg (0.5000, 0.5000, 0.0000)
Mg (0.5000, 0.5000, 0.5000)
W (0.0000, 0.0000, 0.5000)
O (0.0000, 0.0000, 0.2410)
O (0.0000, 0.5000, 0.0000)
O (0.0000, 0.5000, 0.5000)
O (0.5000, 0.5000, 0.2505)

No. 2
Calculated powder diffractogram of HfMg6WO8 for Cu Kα X-rays, from a PBE+U-relaxed structure.
Neutral-atom scattering factors, no anomalous dispersion.

Principal peaks in the range 15° ≤ 2θ ≤ 90°, low angle first:
Position (°2θ)  I/Imax
20.08  67
28.67  56
30.32  31
30.44  98
35.25  100
40.81  47
40.99  94
42.26  74
46.05  32
59.23  58
68.15  33
70.96  31

Cell and atoms:
a = 4.4034 Å, b = 4.4034 Å, c = 8.8436 Å
α = 90.00°, β = 90.00°, γ = 90.00°
Space group P4/mmm (No. 123)
One atom of each set of equivalent atoms:
Hf (0.0000, 0.0000, 0.0000)
Mg (0.0000, 0.0000, 0.5000)
Mg (0.0000, 0.5000, 0.2622)
Mg (0.5000, 0.5000, 0.5000)
W (0.5000, 0.5000, 0.0000)
O (0.0000, 0.0000, 0.2604)
O (0.0000, 0.5000, 0.0000)
O (0.0000, 0.5000, 0.5000)
O (0.5000, 0.5000, 0.2619)